1.
Structure and computed X-ray diffraction stick pattern of Pr3PdPt3 (a cell relaxed with PBE; Cu Kα, 1.54184 Å).
Lines closer than 0.1° are merged.

Crystal structure
a = 4.0222 Å, b = 4.3387 Å, c = 19.3368 Å
α = 90.00°, β = 90.00°, γ = 90.00°
Space group Imm2 (No. 44)
Symmetry-distinct sites (fractional):
Pr 0.0000 0.0000 0.0000 [2 per cell]
Pr 0.0000 0.0000 0.3723 [2 per cell]
Pr 0.0000 0.5000 0.1830 [2 per cell]
Pd 0.0000 0.5000 0.7545 [2 per cell]
Pt 0.0000 0.0000 0.5300 [2 per cell]
Pt 0.0000 0.0000 0.8419 [2 per cell]
Pt 0.0000 0.5000 0.6191 [2 per cell]

Largest 12 diffraction maxima, sorted by position, 2θ = 15–90°:
2θ/deg	I_rel	hkl
22.58	14	1 0 1
27.68	16	0 0 6
31.72	100	1 1 2
32.11	25	1 0 5
35.66	25	1 1 4
38.64	45	0 1 7
41.50	47	1 1 6
41.63	31	0 2 0
45.08	25	2 0 0
53.52	12	1 2 5
60.84	24	2 1 7
63.03	18	2 2 0

***

2.
Structure and computed X-ray diffraction stick pattern of PrSiPd2Pt2 (a cell relaxed with PBE; Cu Kα, 1.54184 Å).
Lines closer than 0.1° are merged.

Crystal structure
a = 4.6188 Å, b = 4.6188 Å, c = 5.6909 Å
α = 90.00°, β = 90.00°, γ = 90.00°
Space group P4/mmm (No. 123)
Symmetry-distinct sites (fractional):
Pr 0.0000 0.0000 0.0000 [1 per cell]
Si 0.0000 0.0000 0.5000 [1 per cell]
Pd 0.5000 0.5000 0.2363 [2 per cell]
Pt 0.0000 0.5000 0.5000 [2 per cell]

Largest 12 diffraction maxima, sorted by position, 2θ = 15–90°:
2θ/deg	I_rel	hkl
15.57	32	0 0 1
31.59	100	1 1 1
37.11	36	1 0 2
39.00	64	2 0 0
42.12	31	1 1 2
50.93	12	2 0 2
54.93	23	2 1 2
56.07	15	1 1 3
56.34	22	2 2 0
66.02	30	3 1 1
72.78	13	3 1 2
79.05	16	2 0 4

***

3.
Structure and computed X-ray diffraction stick pattern of Pr3Si6PdPt2 (a cell relaxed with PBE; Cu Kα, 1.54184 Å).
Lines closer than 0.1° are merged.

Crystal structure
a = 5.8773 Å, b = 5.8773 Å, c = 8.1111 Å
α = 90.00°, β = 90.00°, γ = 120.00°
Space group P-3m1 (No. 164)
Symmetry-distinct sites (fractional):
Pr 0.0000 0.0000 0.0000 [1 per cell]
Pr 0.3333 0.6667 0.6467 [2 per cell]
Si 0.1943 0.3886 0.2981 [6 per cell]
Pd 0.0000 0.0000 0.5000 [1 per cell]
Pt 0.3333 0.6667 0.0474 [2 per cell]

Largest 12 diffraction maxima, sorted by position, 2θ = 15–90°:
2θ/deg	I_rel	hkl
28.13	52	0 1 2
30.42	100	1 1 0
32.40	13	1 1 1
33.13	16	0 0 3
37.81	40	1 1 2
41.91	31	2 0 2
45.59	22	1 1 3
52.66	20	1 2 2
54.05	19	3 0 0
58.99	16	0 3 2
59.84	13	0 1 5
63.29	17	2 2 0

***

4.
Structure and computed X-ray diffraction stick pattern of PrSnPdPt (a cell relaxed with PBE; Cu Kα, 1.54184 Å).
Lines closer than 0.1° are merged.

Crystal structure
a = 8.0843 Å, b = 4.6638 Å, c = 5.3989 Å
α = 90.00°, β = 119.84°, γ = 90.00°
Space group Cm (No. 8)
Symmetry-distinct sites (fractional):
Pr 0.0000 0.0000 0.0000 [2 per cell]
Sn 0.0030 0.5000 0.5085 [2 per cell]
Pd 0.2843 0.5000 0.3525 [2 per cell]
Pt 0.2171 0.0000 0.6506 [2 per cell]

Largest 12 diffraction maxima, sorted by position, 2θ = 15–90°:
2θ/deg	I_rel	hkl
18.95	19	0 0 1
22.90	16	2 0 -1
33.81	98	1 1 1
38.59	100	0 2 0
39.04	24	2 0 1
43.33	14	3 1 0
50.79	11	1 1 2
52.23	29	4 0 0
66.80	28	4 2 0
69.83	18	6 0 -2
71.04	12	2 0 -4
82.74	13	0 4 0